(1)
Structure and calculated XRD peak list of Ba2MgCd10 (a cell relaxed with PBE; Cu Kα (weighted mean of Kα1 and Kα2)).
Neutral-atom scattering factors, no anomalous dispersion.

Most intense lines, 15 to 90 degrees two-theta, by angle:
d/Å, I/Imax, (hkl)
4.975, 35, 1 1 1
3.876, 35, 2 2 0
2.868, 32, 0 2 2
2.718, 43, 2 0 2
2.678, 100, 1 4 1
2.667, 62, 3 2 1
2.654, 42, 2 1 2
2.446, 53, 4 1 0
2.390, 38, 1 5 0
1.620, 35, 0 0 4

Cell and atoms:
```
data_Ba2MgCd10
_chemical_formula_sum 'Ba4 Mg2 Cd20'
_cell_length_a 9.9813
_cell_length_b 12.3071
_cell_length_c 6.4820
_cell_angle_alpha 90.00
_cell_angle_beta 90.00
_cell_angle_gamma 90.00
_space_group_name_H-M_alt 'P b a m'
_space_group_IT_number 55
_space_group_name_Hall '-P 2 2ab'
loop_
_atom_site_label
_atom_site_type_symbol
_atom_site_fract_x
_atom_site_fract_y
_atom_site_fract_z
Ba1 Ba 0.2367 0.0631 0.0000
Mg1 Mg 0.0000 0.0000 0.5000
Cd1 Cd 0.0478 0.6164 0.5000
Cd2 Cd 0.0772 0.8095 0.2216
Cd3 Cd 0.1735 0.2005 0.5000
Cd4 Cd 0.2296 0.4322 0.5000
```

***

(2)
Structure and calculated XRD peak list of LaCeCo (a cell relaxed with PBE; Cu Kα (weighted mean of Kα1 and Kα2)).
Neutral-atom scattering factors, no anomalous dispersion.

Most intense lines, 15 to 90 degrees two-theta, by angle:
d/Å, I/Imax, (hkl)
3.665, 8, 1 0 0
2.920, 100, 1 0 1
2.415, 18, 0 0 2
2.116, 38, 1 1 0
1.714, 21, 2 0 1
1.592, 30, 1 1 2
1.474, 12, 1 0 3
1.332, 18, 2 1 1
1.210, 6, 2 0 3
1.090, 9, 3 0 2

Cell and atoms:
```
data_LaCeCo
_chemical_formula_sum 'La1 Ce1 Co1'
_cell_length_a 4.2325
_cell_length_b 4.2325
_cell_length_c 4.8310
_cell_angle_alpha 90.00
_cell_angle_beta 90.00
_cell_angle_gamma 120.00
_space_group_name_H-M_alt 'P -6 m 2'
_space_group_IT_number 187
_space_group_name_Hall 'P -6 2'
loop_
_atom_site_label
_atom_site_type_symbol
_atom_site_fract_x
_atom_site_fract_y
_atom_site_fract_z
La1 La 0.0000 0.0000 0.0000
Ce1 Ce 0.6667 0.3333 0.5000
Co1 Co 0.3333 0.6667 0.5000
```